[1]
Diffraction record for Na2Mn3O7. The PXRD pattern is theoretical, not measured: it uses a DFT-relaxed cell (PBE+U, the Materials Project) and copper Kα.

Structural model:
Unit cell a=6.830 b=6.846 c=7.714 alpha=103.51 beta=109.44 gamma=111.06
Space group P-1 (No. 2)
Unique sites:
1 Na 0.165 0.173 0.436
2 Na 0.233 0.315 0.023
3 Mn 0.143 0.640 0.420
4 Mn 0.280 0.782 0.858
5 Mn 0.424 0.922 0.280
6 O 0.047 0.355 0.223
7 O 0.114 0.803 0.255
8 O 0.189 0.510 0.634
9 O 0.238 0.914 0.653
10 O 0.372 0.683 0.064
11 O 0.377 0.057 0.085
12 O 0.471 0.793 0.482

Largest 6 diffraction maxima, by angle, 10° ≤ 2θ ≤ 80°:
| (hkl) | two_theta | I/Imax |
| --- | --- | --- |
| 1 -1 0 | 15.76 | 100 |
| 2 1 -1 | 36.47 | 9 |
| 0 2 -3 | 39.91 | 18 |
| -1 2 2 | 41.81 | 18 |
| 3 0 -1 | 43.42 | 18 |
| 1 -3 3 | 49.80 | 10 |

[2]
Diffraction record for Na5MnO4. The PXRD pattern is theoretical, not measured: it uses a DFT-relaxed cell (PBE+U, the Materials Project) and copper Kα.

Structural model:
Unit cell a=7.882 b=6.073 c=5.886 alpha=90.00 beta=90.00 gamma=90.00
Space group Pmn2_1 (No. 31)
Unique sites:
1 Na 0.000 0.178 0.000
2 Na 0.179 0.571 0.697
3 Na 0.199 0.107 0.509
4 Mn 0.000 0.673 0.257
5 O 0.000 0.373 0.376
6 O 0.000 0.785 0.950
7 O 0.225 0.758 0.356

Largest 6 diffraction maxima, by angle, 10° ≤ 2θ ≤ 80°:
| (hkl) | two_theta | I/Imax |
| --- | --- | --- |
| 1 0 1 | 18.82 | 54 |
| 0 1 1 | 21.02 | 38 |
| 0 1 2 | 33.85 | 68 |
| 1 1 2 | 35.77 | 54 |
| 3 0 1 | 37.49 | 71 |
| 2 2 1 | 40.47 | 100 |

Copy entry 1 word for word.
Diffraction record for Na2Mn3O7. The PXRD pattern is theoretical, not measured: it uses a DFT-relaxed cell (PBE+U, the Materials Project) and copper Kα.

Structural model:
Unit cell a=6.830 b=6.846 c=7.714 alpha=103.51 beta=109.44 gamma=111.06
Space group P-1 (No. 2)
Unique sites:
1 Na 0.165 0.173 0.436
2 Na 0.233 0.315 0.023
3 Mn 0.143 0.640 0.420
4 Mn 0.280 0.782 0.858
5 Mn 0.424 0.922 0.280
6 O 0.047 0.355 0.223
7 O 0.114 0.803 0.255
8 O 0.189 0.510 0.634
9 O 0.238 0.914 0.653
10 O 0.372 0.683 0.064
11 O 0.377 0.057 0.085
12 O 0.471 0.793 0.482

Largest 6 diffraction maxima, by angle, 10° ≤ 2θ ≤ 80°:
| (hkl) | two_theta | I/Imax |
| --- | --- | --- |
| 1 -1 0 | 15.76 | 100 |
| 2 1 -1 | 36.47 | 9 |
| 0 2 -3 | 39.91 | 18 |
| -1 2 2 | 41.81 | 18 |
| 3 0 -1 | 43.42 | 18 |
| 1 -3 3 | 49.80 | 10 |